Starting from the GGA-PBE geometry in Alexandria, the powder diffraction line list of Rb2BaInAs2 was simulated for Cu Kα (λ = 1.5418 Å).
Intensities are scaled so that the largest is 100.

```
data_Rb2BaInAs2
_chemical_formula_sum 'Rb4 Ba2 In2 As4'
_cell_length_a 4.7516
_cell_length_b 9.7537
_cell_length_c 9.2514
_cell_angle_alpha 90.00
_cell_angle_beta 90.00
_cell_angle_gamma 90.00
_symmetry_space_group_name_H-M 'P m c 21'
_symmetry_Int_Tables_number 26
_symmetry_space_group_name_Hall 'P 2c -2'
loop_
_atom_site_label
_atom_site_type_symbol
_atom_site_fract_x
_atom_site_fract_y
_atom_site_fract_z
_atom_site_occupancy
Rb1 Rb 0.0000 0.0869 0.0000 1
Rb2 Rb 0.5000 0.1793 0.3260 1
Ba1 Ba 0.5000 0.4537 0.9326 1
In1 In 0.0000 0.3144 0.6272 1
As1 As 0.0000 0.4168 0.2081 1
As2 As 0.5000 0.1755 0.7125 1
```

Main lines, in order of rising 2θ (10° ≤ 2θ ≤ 90°):
two_theta, I (rel.)
26.90, 51
27.93, 58
28.44, 100
33.39, 40
37.87, 39
51.53, 41